# 1
Diffraction record for FeS2O8. The X-ray diffraction stick pattern is simulated, not measured: it uses a cell relaxed with PBE+U and λ = 1.5418 Å (Cu Kα).

Most intense lines, 2θ from 10° to 90°, by intensity:
| two_theta | I/Imax |
| --- | --- |
| 24.16 | 100 |
| 14.43 | 51 |
| 31.85 | 33 |
| 19.87 | 29 |
| 29.09 | 28 |
| 12.72 | 17 |
| 32.62 | 14 |
| 52.32 | 12 |

Structural model:
a b c (Å): 8.9673 8.9673 8.9673
angles (deg): 56.21 56.21 56.21
Positions (direct):
1 Fe 0.0000 0.0000 0.0000
2 Fe 0.2076 0.2076 0.2076
3 Fe 0.4949 0.4949 0.4949
4 S 0.1071 0.3839 0.8118
5 S 0.3118 0.8907 0.6017
6 S 0.3839 0.8118 0.1071
7 S 0.6017 0.3118 0.8907
8 S 0.8118 0.1071 0.3839
9 S 0.8907 0.6017 0.3118
10 O 0.0821 0.4705 0.2221
11 O 0.1324 0.1960 0.8274
12 O 0.1711 0.3464 0.9567
13 O 0.1720 0.8705 0.8034
14 O 0.1960 0.8274 0.1324
15 O 0.2221 0.0821 0.4705
16 O 0.2403 0.4631 0.6189
17 O 0.3377 0.7369 0.5599
18 O 0.3464 0.9567 0.1711
19 O 0.4631 0.6189 0.2403
20 O 0.4705 0.2221 0.0821
21 O 0.4919 0.8804 0.5772
22 O 0.5120 0.8461 0.9079
23 O 0.5599 0.3377 0.7369
24 O 0.5772 0.4919 0.8804
25 O 0.6189 0.2403 0.4631
26 O 0.7369 0.5599 0.3377
27 O 0.8034 0.1720 0.8705
28 O 0.8274 0.1324 0.1960
29 O 0.8461 0.9079 0.5120
30 O 0.8705 0.8034 0.1720
31 O 0.8804 0.5772 0.4919
32 O 0.9079 0.5120 0.8461
33 O 0.9567 0.1711 0.3464

=====

# 2
Diffraction record for Fe2S3O12. The X-ray diffraction stick pattern is simulated, not measured: it uses a cell relaxed with PBE+U and λ = 1.5418 Å (Cu Kα).

Most intense lines, 2θ from 10° to 90°, by intensity:
| two_theta | I/Imax |
| --- | --- |
| 24.33 | 100 |
| 14.52 | 56 |
| 31.96 | 50 |
| 19.92 | 49 |
| 29.27 | 41 |
| 52.47 | 18 |
| 21.23 | 16 |
| 37.22 | 16 |

Structural model:
a b c (Å): 8.9541 8.9541 8.9541
angles (deg): 55.72 55.72 55.72
Positions (direct):
1 Fe 0.1452 0.1452 0.1452
2 Fe 0.3497 0.3497 0.3497
3 Fe 0.6503 0.6503 0.6503
4 Fe 0.8548 0.8548 0.8548
5 S 0.0374 0.7516 0.4592
6 S 0.2484 0.5408 0.9626
7 S 0.4592 0.0374 0.7516
8 S 0.5408 0.9626 0.2484
9 S 0.7516 0.4592 0.0374
10 S 0.9626 0.2484 0.5408
11 O 0.0123 0.7901 0.6142
12 O 0.1117 0.7327 0.8838
13 O 0.1162 0.8883 0.2673
14 O 0.1518 0.2206 0.5224
15 O 0.1753 0.5501 0.4758
16 O 0.2099 0.3858 0.9877
17 O 0.2206 0.5224 0.1518
18 O 0.2673 0.1162 0.8883
19 O 0.3858 0.9877 0.2099
20 O 0.4499 0.5242 0.8247
21 O 0.4758 0.1753 0.5501
22 O 0.4776 0.8482 0.7794
23 O 0.5224 0.1518 0.2206
24 O 0.5242 0.8247 0.4499
25 O 0.5501 0.4758 0.1753
26 O 0.6142 0.0123 0.7901
27 O 0.7327 0.8838 0.1117
28 O 0.7794 0.4776 0.8482
29 O 0.7901 0.6142 0.0123
30 O 0.8247 0.4499 0.5242
31 O 0.8482 0.7794 0.4776
32 O 0.8838 0.1117 0.7327
33 O 0.8883 0.2673 0.1162
34 O 0.9877 0.2099 0.3858

=====

Please write out number 2 again, unchanged.
Diffraction record for Fe2S3O12. The X-ray diffraction stick pattern is simulated, not measured: it uses a cell relaxed with PBE+U and λ = 1.5418 Å (Cu Kα).

Most intense lines, 2θ from 10° to 90°, by intensity:
| two_theta | I/Imax |
| --- | --- |
| 24.33 | 100 |
| 14.52 | 56 |
| 31.96 | 50 |
| 19.92 | 49 |
| 29.27 | 41 |
| 52.47 | 18 |
| 21.23 | 16 |
| 37.22 | 16 |

Structural model:
a b c (Å): 8.9541 8.9541 8.9541
angles (deg): 55.72 55.72 55.72
Positions (direct):
1 Fe 0.1452 0.1452 0.1452
2 Fe 0.3497 0.3497 0.3497
3 Fe 0.6503 0.6503 0.6503
4 Fe 0.8548 0.8548 0.8548
5 S 0.0374 0.7516 0.4592
6 S 0.2484 0.5408 0.9626
7 S 0.4592 0.0374 0.7516
8 S 0.5408 0.9626 0.2484
9 S 0.7516 0.4592 0.0374
10 S 0.9626 0.2484 0.5408
11 O 0.0123 0.7901 0.6142
12 O 0.1117 0.7327 0.8838
13 O 0.1162 0.8883 0.2673
14 O 0.1518 0.2206 0.5224
15 O 0.1753 0.5501 0.4758
16 O 0.2099 0.3858 0.9877
17 O 0.2206 0.5224 0.1518
18 O 0.2673 0.1162 0.8883
19 O 0.3858 0.9877 0.2099
20 O 0.4499 0.5242 0.8247
21 O 0.4758 0.1753 0.5501
22 O 0.4776 0.8482 0.7794
23 O 0.5224 0.1518 0.2206
24 O 0.5242 0.8247 0.4499
25 O 0.5501 0.4758 0.1753
26 O 0.6142 0.0123 0.7901
27 O 0.7327 0.8838 0.1117
28 O 0.7794 0.4776 0.8482
29 O 0.7901 0.6142 0.0123
30 O 0.8247 0.4499 0.5242
31 O 0.8482 0.7794 0.4776
32 O 0.8838 0.1117 0.7327
33 O 0.8883 0.2673 0.1162
34 O 0.9877 0.2099 0.3858

=====

- Number 1 is which compound?
  FeS2O8